1.
Diffraction record for Sm2HoZn2. The powder diffractogram is computed, not measured: it uses a DFT-relaxed cell (GGA-PBE, Alexandria) and a wavelength of 1.5418 Å.
Kinematic intensities with the Lorentz-polarization factor, no thermal factor.

The 12 most intense peaks (2θ = 15–90°), by intensity:
two_theta, intensity
34.39, 100
34.76, 27
26.34, 19
33.32, 19
62.07, 18
48.92, 13
57.73, 10
62.27, 10
49.93, 10
24.59, 8
72.48, 8
83.52, 8

Structure:
Lattice parameters (Å, degrees): 3.6534 5.1620 13.5694 90.00 97.77 90.00
Positions (direct):
1 Sm 0.0462 0.2500 0.0910
2 Sm 0.2313 0.2500 0.4639
3 Sm 0.7687 0.7500 0.5361
4 Sm 0.9538 0.7500 0.9090
5 Ho 0.1434 0.7500 0.2858
6 Ho 0.8566 0.2500 0.7142
7 Zn 0.3610 0.7500 0.7224
8 Zn 0.4475 0.2500 0.8955
9 Zn 0.5525 0.7500 0.1045
10 Zn 0.6390 0.2500 0.2776

=====

2.
Diffraction record for Ba2Sb2F. The powder diffractogram is computed, not measured: it uses a DFT-relaxed cell (GGA-PBE, Alexandria) and a wavelength of 1.5418 Å.
Kinematic intensities with the Lorentz-polarization factor, no thermal factor.

The 12 most intense peaks (2θ = 15–90°), by intensity:
two_theta, intensity
29.85, 100
32.96, 22
15.63, 22
56.94, 16
35.40, 15
27.65, 14
49.14, 11
40.57, 11
49.80, 10
53.22, 9
22.17, 9
22.66, 9

Structure:
Lattice parameters (Å, degrees): 8.0178 8.0178 5.4354 90.00 90.00 90.00
Positions (direct):
1 Ba 0.1836 0.3164 0.0000
2 Ba 0.3164 0.8164 0.0000
3 Ba 0.6836 0.1836 0.0000
4 Ba 0.8164 0.6836 0.0000
5 Sb 0.1219 0.6219 0.5000
6 Sb 0.3781 0.1219 0.5000
7 Sb 0.6219 0.8781 0.5000
8 Sb 0.8781 0.3781 0.5000
9 F 0.0000 0.0000 0.0000
10 F 0.5000 0.5000 0.0000

=====

3.
Diffraction record for ScBe2PtSe. The powder diffractogram is computed, not measured: it uses a DFT-relaxed cell (GGA-PBE, Alexandria) and a wavelength of 1.5418 Å.
Kinematic intensities with the Lorentz-polarization factor, no thermal factor.

The 12 most intense peaks (2θ = 15–90°), by intensity:
two_theta, intensity
21.40, 100
30.45, 76
27.13, 54
45.74, 50
39.93, 41
33.30, 35
43.60, 33
55.95, 31
60.60, 25
49.07, 23
73.47, 20
81.60, 18

Structure:
Lattice parameters (Å, degrees): 4.1516 4.1516 5.3808 90.00 90.00 90.00
Positions (direct):
1 Sc 0.0000 0.0000 0.0000
2 Be 0.0000 0.5000 0.5000
3 Be 0.5000 0.0000 0.5000
4 Pt 0.5000 0.5000 0.5000
5 Se 0.5000 0.5000 0.0000

=====

4.
Diffraction record for CeEr4Rh5. The powder diffractogram is computed, not measured: it uses a DFT-relaxed cell (GGA-PBE, Alexandria) and a wavelength of 1.5418 Å.
Kinematic intensities with the Lorentz-polarization factor, no thermal factor.

The 12 most intense peaks (2θ = 15–90°), by intensity:
two_theta, intensity
37.11, 100
37.52, 49
67.44, 34
66.63, 18
54.11, 17
79.06, 11
52.87, 9
89.73, 8
80.07, 5
26.29, 5
25.72, 3
46.05, 2

Structure:
Lattice parameters (Å, degrees): 3.3896 3.3896 17.3162 90.00 90.00 90.00
Positions (direct):
1 Ce 0.0000 0.0000 0.0000
2 Er 0.0000 0.0000 0.2029
3 Er 0.0000 0.0000 0.4010
4 Er 0.0000 0.0000 0.5990
5 Er 0.0000 0.0000 0.7971
6 Rh 0.5000 0.5000 0.1029
7 Rh 0.5000 0.5000 0.3018
8 Rh 0.5000 0.5000 0.5000
9 Rh 0.5000 0.5000 0.6982
10 Rh 0.5000 0.5000 0.8971